Structure and simulated powder X-ray diffraction pattern of Ho15Tm4Zr (DFT lattice parameters and positions (PBE); Cu Ka).

Structural model:
Cell: 4.954 4.954 24.664 Å, 90.00 90.00 90.00°
Space group P4/mmm (No. 123)
Symmetry-distinct sites (fractional):
Ho: 0.000 0.000 0.000
Ho: 0.000 0.000 0.198
Ho: 0.000 0.000 0.399
Ho: 0.000 0.500 0.095
Ho: 0.000 0.500 0.298
Ho: 0.000 0.500 0.500
Tm: 0.500 0.500 0.198
Tm: 0.500 0.500 0.399
Zr: 0.500 0.500 0.000

Top 6 peaks for 15 to 90 degrees two-theta, in order of rising 2θ:
| (hkl) | Position (°2θ) | I_rel |
| --- | --- | --- |
| 1 1 5 | 31.32 | 100.0 |
| 2 0 0 | 36.27 | 34.1 |
| 0 0 10 | 36.43 | 16.4 |
| 2 0 10 | 52.35 | 23.3 |
| 3 1 5 | 62.18 | 28.4 |
| 1 1 15 | 62.39 | 13.3 |